This entry pairs a crystal structure of Ce2MgSe4 with its calculated PXRD pattern. Radiation: Cu Ka. Structure: DFT lattice parameters and positions (GGA-PBE).

Top 10 peaks for 15° ≤ 2θ ≤ 90°, low angle first:
- d 3.933, 2θ = 22.61°, I = 463, (2 0 3)
- d 3.531, 2θ = 25.23°, I = 1000, (2 1 0)
- d 3.197, 2θ = 27.91°, I = 707, (2 0 4)
- d 2.982, 2θ = 29.97°, I = 521, (3 1 1)
- d 2.810, 2θ = 31.85°, I = 898, (3 1 2)
- d 2.576, 2θ = 34.82°, I = 380, (3 1 3)
- d 2.342, 2θ = 38.43°, I = 351, (1 1 5)
- d 2.301, 2θ = 39.15°, I = 464, (4 1 3)
- d 2.072, 2θ = 43.69°, I = 431, (0 2 0)
- d 2.065, 2θ = 43.83°, I = 407, (1 1 6)

Cell and atoms:
Cell: 13.4860 4.1439 14.5232 Å, 90.00 90.00 90.00°
Space group Pnma (No. 62)
One atom of each set of equivalent atoms:
1 Ce 0.1189 0.2500 0.0727 [4 per cell]
2 Ce 0.1346 0.2500 0.7043 [4 per cell]
3 Mg 0.1075 0.7500 0.4622 [4 per cell]
4 Se 0.0011 0.7500 0.6147 [4 per cell]
5 Se 0.0288 0.2500 0.8846 [4 per cell]
6 Se 0.2265 0.2500 0.2460 [4 per cell]
7 Se 0.2320 0.2500 0.5143 [4 per cell]